This entry pairs a crystal structure of ErAl2Zn10 with its simulated powder diffractogram. Radiation: Cu Kα (λ = 1.5418 Å). Structure: DFT lattice parameters and positions (PBE).
Kinematic intensities with the Lorentz-polarization factor, no thermal factor.

Structure:
Lattice parameters (Å, degrees): 6.873 6.873 8.969 90.00 90.00 99.91
Atoms (fractional coordinates):
Er  0.134  0.866  0.750
Er  0.866  0.134  0.250
Al  0.000  0.500  0.000
Al  0.000  0.500  0.500
Al  0.500  0.000  0.000
Al  0.500  0.000  0.500
Zn  0.145  0.388  0.750
Zn  0.149  0.851  0.104
Zn  0.149  0.851  0.396
Zn  0.222  0.222  0.000
Zn  0.222  0.222  0.500
Zn  0.229  0.479  0.250
Zn  0.388  0.145  0.250
Zn  0.388  0.612  0.562
Zn  0.388  0.612  0.938
Zn  0.479  0.229  0.750
Zn  0.521  0.771  0.250
Zn  0.612  0.388  0.062
Zn  0.612  0.388  0.438
Zn  0.612  0.855  0.750
Zn  0.771  0.521  0.750
Zn  0.778  0.778  0.000
Zn  0.778  0.778  0.500
Zn  0.851  0.149  0.604
Zn  0.851  0.149  0.896
Zn  0.855  0.612  0.250

Main lines, sorted by position (5° ≤ 2θ ≤ 70°):
2θ/deg	I_rel
28.18	13
33.11	13
34.07	35
34.50	40
37.50	47
39.72	40
39.91	50
40.24	100
40.81	27
43.97	11
44.92	31
65.18	14